Entry 1:
Calculated X-ray powder pattern of NdGd2NiGe3Ir2 for Cu Kα, 1.54184 Å, from a structure optimized by DFT (GGA-PBE).
Neutral-atom scattering factors, no anomalous dispersion.

Crystal structure
abc: 3.9365 12.4076 7.1076
angles: 90.00 90.00 90.00
Space group Amm2 (No. 38)
Symmetry-distinct sites (fractional):
Nd1 0.0000 0.0000 0.0000 (multiplicity 2)
Gd1 0.0000 0.2028 0.6100 (multiplicity 4)
Ni1 0.0000 0.0000 0.4120 (multiplicity 2)
Ge1 0.5000 0.0000 0.6517 (multiplicity 2)
Ge2 0.5000 0.1242 0.2860 (multiplicity 4)
Ir1 0.5000 0.1703 0.9067 (multiplicity 4)

The 6 most intense peaks (10° ≤ 2θ ≤ 90°), low angle first:
- hkl 1 3 1, 33.87 deg, I = 1000
- hkl 1 0 2, 33.99 deg, I = 517
- hkl 1 4 0, 36.89 deg, I = 319
- hkl 1 2 2, 37.03 deg, I = 759
- hkl 0 3 3, 44.05 deg, I = 318
- hkl 2 0 0, 46.12 deg, I = 342

Entry 2:
Calculated X-ray powder pattern of PrGdGe2Ir for Cu Kα, 1.54184 Å, from a structure optimized by DFT (GGA-PBE).
Neutral-atom scattering factors, no anomalous dispersion.

Crystal structure
abc: 10.9552 4.3432 10.5762
angles: 90.00 117.21 90.00
Space group C2/m (No. 12)
Symmetry-distinct sites (fractional):
Pr1 0.0040 0.0000 0.3289 (multiplicity 4)
Gd1 0.1879 0.0000 0.1173 (multiplicity 4)
Ge1 0.0164 0.5000 0.8858 (multiplicity 4)
Ge2 0.1603 0.5000 0.5552 (multiplicity 4)
Ir1 0.2249 0.5000 0.3304 (multiplicity 4)

The 6 most intense peaks (10° ≤ 2θ ≤ 90°), low angle first:
- hkl 1 1 2, 32.13 deg, I = 997
- hkl 4 0 -2, 32.72 deg, I = 730
- hkl 1 1 -3, 32.95 deg, I = 568
- hkl 3 1 -3, 35.89 deg, I = 341
- hkl 3 1 1, 39.19 deg, I = 1000
- hkl 0 2 0, 41.59 deg, I = 577

Entry 3:
Calculated X-ray powder pattern of PrGdGe2Ir for Cu Kα, 1.54184 Å, from a structure optimized by DFT (GGA-PBE).
Neutral-atom scattering factors, no anomalous dispersion.

Crystal structure
abc: 10.7948 4.3754 10.5303
angles: 90.00 116.85 90.00
Space group C2/m (No. 12)
Symmetry-distinct sites (fractional):
Pr1 0.1932 0.0000 0.1177 (multiplicity 4)
Gd1 0.0106 0.0000 0.3334 (multiplicity 4)
Ge1 0.0124 0.5000 0.8792 (multiplicity 4)
Ge2 0.1511 0.5000 0.5512 (multiplicity 4)
Ir1 0.2313 0.5000 0.3396 (multiplicity 4)

The 6 most intense peaks (10° ≤ 2θ ≤ 90°), low angle first:
- hkl 1 1 2, 32.06 deg, I = 743
- hkl 1 1 -3, 32.89 deg, I = 1000
- hkl 4 0 -2, 33.28 deg, I = 283
- hkl 3 1 -3, 36.08 deg, I = 348
- hkl 3 1 1, 39.33 deg, I = 704
- hkl 0 2 0, 41.27 deg, I = 555